Simulated X-ray diffraction stick pattern
Compound: ZrTi6Mo2
Radiation: a wavelength of 1.5418 Å
Structure: a DFT-relaxed cell (GGA-PBE, Alexandria)
Kinematic intensities with the Lorentz-polarization factor, no thermal factor.

Crystal structure
abc: 4.5774 4.5774 8.5877
angles: 90.00 90.00 120.00
Space group P-3m1 (No. 164)
Symmetry-distinct sites (fractional):
1 Zr 0.0000 0.0000 0.0000 [1 per cell]
2 Ti 0.0000 0.0000 0.3409 [2 per cell]
3 Ti 0.3333 0.6667 0.1564 [2 per cell]
4 Ti 0.3333 0.6667 0.7791 [2 per cell]
5 Mo 0.3333 0.6667 0.4567 [2 per cell]

The 10 most intense peaks (2θ = 10–80°), low angle first:
index	2θ (°)	Rel. int.
0 0 1	10.30	15
0 0 2	20.69	5
0 1 1	24.74	24
0 1 3	38.80	95
1 1 0	39.37	100
0 1 4	48.20	8
2 0 3	56.47	30
1 0 6	69.87	10
1 2 3	71.01	29
3 0 0	71.38	15

Simulated X-ray diffraction stick pattern
Compound: K2CdGa7
Radiation: a wavelength of 1.5418 Å
Structure: a DFT-relaxed cell (GGA-PBE, Alexandria)
Kinematic intensities with the Lorentz-polarization factor, no thermal factor.

Crystal structure
abc: 4.544 4.544 11.264
angles: 90.00 90.00 90.00
Space group P-4m2 (No. 115)
Symmetry-distinct sites (fractional):
1 K 0.000 0.500 0.244 [2 per cell]
2 Cd 0.000 0.000 0.500 [1 per cell]
3 Ga 0.000 0.000 0.000 [1 per cell]
4 Ga 0.000 0.500 0.641 [2 per cell]
5 Ga 0.000 0.500 0.872 [2 per cell]
6 Ga 0.500 0.500 0.000 [1 per cell]
7 Ga 0.500 0.500 0.500 [1 per cell]

The 10 most intense peaks (2θ = 10–80°), low angle first:
index	2θ (°)	Rel. int.
0 0 2	15.74	32
1 0 1	21.08	28
1 0 3	30.89	34
1 1 2	32.07	100
2 0 0	39.67	69
1 1 4	42.69	64
1 0 5	44.91	21
2 2 0	57.35	22
3 1 2	67.23	21
3 1 4	74.06	24

Simulated X-ray diffraction stick pattern
Compound: Ac2Zn3Ag4
Radiation: a wavelength of 1.5418 Å
Structure: a DFT-relaxed cell (GGA-PBE, Alexandria)
Kinematic intensities with the Lorentz-polarization factor, no thermal factor.

Crystal structure
abc: 5.539 9.919 14.689
angles: 90.00 90.00 90.00
Space group Fmmm (No. 69)
Symmetry-distinct sites (fractional):
1 Ac 0.000 0.000 0.135 [8 per cell]
2 Zn 0.000 0.000 0.500 [4 per cell]
3 Zn 0.250 0.250 0.000 [8 per cell]
4 Ag 0.000 0.172 0.334 [16 per cell]

The 10 most intense peaks (2θ = 10–80°), low angle first:
index	2θ (°)	Rel. int.
0 0 4	24.24	18
1 1 3	25.89	15
0 2 4	30.28	14
1 3 1	32.11	36
2 0 0	32.32	30
1 1 5	35.76	18
1 3 3	36.59	100
0 0 6	36.71	22
2 0 4	40.81	25
3 3 3	60.46	23

Simulated X-ray diffraction stick pattern
Compound: SmY4Er6
Radiation: a wavelength of 1.5418 Å
Structure: a DFT-relaxed cell (GGA-PBE, Alexandria)
Kinematic intensities with the Lorentz-polarization factor, no thermal factor.

Crystal structure
abc: 6.541 6.541 17.007
angles: 90.00 90.00 90.00
Space group I-42m (No. 121)
Symmetry-distinct sites (fractional):
1 Sm 0.000 0.000 0.000 [2 per cell]
2 Y 0.187 0.187 0.174 [8 per cell]
3 Er 0.000 0.500 0.000 [4 per cell]
4 Er 0.179 0.179 0.371 [8 per cell]

The 10 most intense peaks (2θ = 10–80°), low angle first:
index	2θ (°)	Rel. int.
1 1 2	21.87	36
1 1 4	28.52	23
2 0 2	29.26	59
1 0 5	29.60	24
2 1 1	31.02	84
0 0 6	31.56	25
2 0 4	34.59	100
1 1 6	37.20	29
2 2 0	38.94	27
2 1 5	40.68	34

Copy entry 3 word for word.
Simulated X-ray diffraction stick pattern
Compound: Ac2Zn3Ag4
Radiation: a wavelength of 1.5418 Å
Structure: a DFT-relaxed cell (GGA-PBE, Alexandria)
Kinematic intensities with the Lorentz-polarization factor, no thermal factor.

Crystal structure
abc: 5.539 9.919 14.689
angles: 90.00 90.00 90.00
Space group Fmmm (No. 69)
Symmetry-distinct sites (fractional):
1 Ac 0.000 0.000 0.135 [8 per cell]
2 Zn 0.000 0.000 0.500 [4 per cell]
3 Zn 0.250 0.250 0.000 [8 per cell]
4 Ag 0.000 0.172 0.334 [16 per cell]

The 10 most intense peaks (2θ = 10–80°), low angle first:
index	2θ (°)	Rel. int.
0 0 4	24.24	18
1 1 3	25.89	15
0 2 4	30.28	14
1 3 1	32.11	36
2 0 0	32.32	30
1 1 5	35.76	18
1 3 3	36.59	100
0 0 6	36.71	22
2 0 4	40.81	25
3 3 3	60.46	23